# 1
For AlSnCl4, a crystal structure in Alexandria, relaxed with GGA-PBE gives the theoretical PXRD pattern in this record (CuKα).

Structure:
Cell lengths 8.1810, 8.1810, 6.0836 Å; angles 90.00, 90.00, 90.00 degrees
Space group I-4 (No. 82)
Asymmetric unit:
Al1 0.0000 0.0000 0.0000 x2
Sn1 0.0000 0.5000 0.2500 x2
Cl1 0.1383 0.8368 0.2098 x8

The 6 most intense peaks (2θ = 5–70°), by angle:
18.2°, I 100, hkl 1 0 1
28.5°, I 81, hkl 1 2 1
29.4°, I 20, hkl 0 0 2
34.7°, I 31, hkl 1 3 0
42.5°, I 25, hkl 3 2 1
46.1°, I 51, hkl 1 3 2

# 2
For Sc5B2Te, a crystal structure in Alexandria, relaxed with GGA-PBE gives the theoretical PXRD pattern in this record (CuKα).

Structure:
Cell lengths 6.6460, 6.6460, 13.1919 Å; angles 90.00, 90.00, 90.00 degrees
Space group I4/mcm (No. 140)
Asymmetric unit:
Sc1 0.0000 0.0000 0.0000 x4
Sc2 0.1684 0.3316 0.1281 x16
B1 0.1024 0.3976 0.5000 x8
Te1 0.0000 0.0000 0.2500 x4

The 6 most intense peaks (2θ = 5–70°), by angle:
18.9°, I 56, hkl 1 1 0
23.2°, I 42, hkl 1 1 2
33.2°, I 87, hkl 1 1 4
36.5°, I 39, hkl 2 1 3
38.5°, I 100, hkl 2 0 4
43.0°, I 69, hkl 3 1 0

# 3
For Li4ZnNi5, a crystal structure in Alexandria, relaxed with GGA-PBE gives the theoretical PXRD pattern in this record (CuKα).

Structure:
Cell lengths 4.9012, 8.7421, 7.0939 Å; angles 90.00, 119.62, 90.00 degrees
Space group P2/c (No. 13)
Asymmetric unit:
Li1 0.2192 0.0019 0.4570 x4
Li2 0.2648 0.4880 0.7779 x4
Zn1 0.5000 0.2162 0.7500 x2
Ni1 0.0000 0.2357 0.7500 x2
Ni2 0.0045 0.2660 0.0841 x4
Ni3 0.4976 0.2537 0.4129 x4

The 6 most intense peaks (2θ = 5–70°), by angle:
20.3°, I 100, hkl 0 2 0
41.3°, I 16, hkl 0 4 0
42.4°, I 15, hkl 2 0 0
44.8°, I 28, hkl 2 1 -3
45.3°, I 27, hkl 0 1 3
47.5°, I 25, hkl 2 2 0

What did the second record say?
For Sc5B2Te, a crystal structure in Alexandria, relaxed with GGA-PBE gives the theoretical PXRD pattern in this record (CuKα).

Structure:
Cell lengths 6.6460, 6.6460, 13.1919 Å; angles 90.00, 90.00, 90.00 degrees
Space group I4/mcm (No. 140)
Asymmetric unit:
Sc1 0.0000 0.0000 0.0000 x4
Sc2 0.1684 0.3316 0.1281 x16
B1 0.1024 0.3976 0.5000 x8
Te1 0.0000 0.0000 0.2500 x4

The 6 most intense peaks (2θ = 5–70°), by angle:
18.9°, I 56, hkl 1 1 0
23.2°, I 42, hkl 1 1 2
33.2°, I 87, hkl 1 1 4
36.5°, I 39, hkl 2 1 3
38.5°, I 100, hkl 2 0 4
43.0°, I 69, hkl 3 1 0